[1]
# Ba3NiF12
Theoretical X-ray powder pattern, Cu Kα. Input: a PBE+U-relaxed structure.
Kinematic intensities with the Lorentz-polarization factor, no thermal factor.

Structural model:
abc: 7.308 12.532 7.322
angles: 90.00 99.71 90.00
Space group C2/m (No. 12)
One atom of each set of equivalent atoms:
Ba  0.000  0.000  0.000 [2 per cell]
Ba  0.250  0.250  0.500 [4 per cell]
Ni  0.000  0.000  0.500 [2 per cell]
F  0.015  0.107  0.684 [8 per cell]
F  0.035  0.357  0.685 [8 per cell]
F  0.193  0.285  0.910 [8 per cell]

The 6 most intense peaks (10 to 90 degrees two-theta), in order of rising 2θ:
d (Å)	2θ/deg	I (rel.)	hkl
6.249	14.17	78.2	1 1 0
4.732	18.75	54.2	0 2 1
3.611	24.65	56.3	0 0 2
3.125	28.56	100.0	2 2 0
2.553	35.15	44.1	2 2 -2
2.366	38.04	53.2	0 4 2

[2]
# RbBa2Ni2F9
Theoretical X-ray powder pattern, Cu Kα. Input: a PBE+U-relaxed structure.
Kinematic intensities with the Lorentz-polarization factor, no thermal factor.

Structural model:
abc: 5.8701 5.8701 21.2864
angles: 90.00 90.00 120.00
Space group R3m (No. 160, hexagonal axes)
One atom of each set of equivalent atoms:
Rb  0.0000  0.0000  0.0000 [3 per cell]
Ba  0.0000  0.0000  0.5807 [3 per cell]
Ba  0.0000  0.0000  0.7858 [3 per cell]
Ni  0.0000  0.0000  0.1766 [3 per cell]
Ni  0.0000  0.0000  0.3937 [3 per cell]
F  0.0029  0.5014  0.5566 [9 per cell]
F  0.1704  0.3408  0.3485 [9 per cell]
F  0.1711  0.3423  0.1219 [9 per cell]

The 6 most intense peaks (10 to 90 degrees two-theta), in order of rising 2θ:
d (Å)	2θ/deg	I (rel.)	hkl
3.264	27.32	100.0	0 1 5
2.935	30.46	76.0	1 1 0
2.182	41.37	64.6	2 0 5
1.963	46.24	23.1	1 0 10
1.751	52.23	34.0	1 2 5
1.468	63.38	19.8	2 2 0

[3]
# Ba2YNi2F11
Theoretical X-ray powder pattern, Cu Kα. Input: a PBE+U-relaxed structure.
Kinematic intensities with the Lorentz-polarization factor, no thermal factor.

Structural model:
abc: 7.8600 7.8600 13.5024
angles: 90.00 90.00 120.00
Space group P3_2 (No. 145)
One atom of each set of equivalent atoms:
Ba  0.0095  0.1470  0.0000 [3 per cell]
Ba  0.2196  0.5209  0.5137 [3 per cell]
Y  0.5419  0.2068  0.0776 [3 per cell]
Ni  0.0300  0.6998  0.0654 [3 per cell]
Ni  0.4517  0.0700  0.5680 [3 per cell]
F  0.0061  0.2498  0.6800 [3 per cell]
F  0.0115  0.6350  0.7092 [3 per cell]
F  0.0943  0.6682  0.2065 [3 per cell]
F  0.1390  0.3190  0.1933 [3 per cell]
F  0.1802  0.0558  0.7811 [3 per cell]
F  0.2322  0.6319  0.0262 [3 per cell]
F  0.3330  0.2426  0.5948 [3 per cell]
F  0.3807  0.0318  0.1984 [3 per cell]
F  0.5145  0.1332  0.4177 [3 per cell]
F  0.5149  0.4675  0.0450 [3 per cell]
F  0.5951  0.2670  0.9054 [3 per cell]

The 6 most intense peaks (10 to 90 degrees two-theta), in order of rising 2θ:
d (Å)	2θ/deg	I (rel.)	hkl
3.754	23.70	89.7	1 0 3
3.397	26.24	71.2	1 1 2
3.300	27.02	100.0	0 2 1
3.039	29.39	71.4	2 0 2
3.024	29.54	47.9	0 1 4
2.046	44.27	50.2	3 -2 4

[4]
# BaZnNiF7
Theoretical X-ray powder pattern, Cu Kα. Input: a PBE+U-relaxed structure.
Kinematic intensities with the Lorentz-polarization factor, no thermal factor.

Structural model:
abc: 5.616 10.004 9.576
angles: 90.00 92.69 90.00
Space group P2_1/c (No. 14)
One atom of each set of equivalent atoms:
Ba  0.240  0.185  0.000 [4 per cell]
Zn  0.198  0.601  0.810 [4 per cell]
Ni  0.305  0.612  0.189 [4 per cell]
F  0.027  0.705  0.250 [4 per cell]
F  0.118  0.543  0.619 [4 per cell]
F  0.135  0.052  0.629 [4 per cell]
F  0.242  0.690  0.008 [4 per cell]
F  0.383  0.545  0.363 [4 per cell]
F  0.394  0.057  0.378 [4 per cell]
F  0.480  0.720  0.750 [4 per cell]

The 6 most intense peaks (10 to 90 degrees two-theta), in order of rising 2θ:
d (Å)	2θ/deg	I (rel.)	hkl
3.515	25.34	100.0	1 2 -1
3.492	25.51	62.8	1 1 -2
3.353	26.59	94.4	1 1 2
3.038	29.40	41.6	0 1 3
2.805	31.90	38.3	2 0 0
2.214	40.76	90.6	1 4 1

[5]
# Ba2WO3F4
Theoretical X-ray powder pattern, Cu Kα. Input: a PBE+U-relaxed structure.
Kinematic intensities with the Lorentz-polarization factor, no thermal factor.

Structural model:
abc: 11.744 9.573 7.321
angles: 90.00 126.05 90.00
Space group Cc (No. 9)
One atom of each set of equivalent atoms:
Ba  0.000  0.120  0.000 [4 per cell]
Ba  0.291  0.173  0.835 [4 per cell]
W  0.118  0.473  0.953 [4 per cell]
O  0.132  0.437  0.707 [4 per cell]
O  0.217  0.318  0.106 [4 per cell]
O  0.443  0.092  0.321 [4 per cell]
F  0.034  0.334  0.303 [4 per cell]
F  0.178  0.037  0.447 [4 per cell]
F  0.307  0.412  0.599 [4 per cell]
F  0.495  0.352  0.119 [4 per cell]

The 6 most intense peaks (10 to 90 degrees two-theta), in order of rising 2θ:
d (Å)	2θ/deg	I (rel.)	hkl
3.740	23.79	84.9	1 1 1
3.659	24.33	100.0	2 2 -1
3.371	26.44	81.4	2 2 0
3.174	28.11	98.6	3 1 -2
3.025	29.53	79.4	1 3 0
3.005	29.73	98.8	3 1 0

[6]
# Ba2V2F11
Theoretical X-ray powder pattern, Cu Kα. Input: a PBE+U-relaxed structure.
Kinematic intensities with the Lorentz-polarization factor, no thermal factor.

Structural model:
abc: 7.8487 7.8487 14.3883
angles: 90.00 90.00 120.00
Space group P3_2 (No. 145)
One atom of each set of equivalent atoms:
Ba  0.1544  0.4592  0.0000 [3 per cell]
Ba  0.5847  0.1711  0.8461 [3 per cell]
V  0.0266  0.6610  0.7436 [3 per cell]
V  0.2254  0.0724  0.5843 [3 per cell]
F  0.0166  0.1006  0.5967 [3 per cell]
F  0.0827  0.7958  0.6158 [3 per cell]
F  0.1107  0.5033  0.6789 [3 per cell]
F  0.1688  0.0759  0.4463 [3 per cell]
F  0.2011  0.4842  0.4645 [3 per cell]
F  0.3105  0.1338  0.7050 [3 per cell]
F  0.3307  0.0507  0.1995 [3 per cell]
F  0.3944  0.3539  0.0315 [3 per cell]
F  0.4036  0.3430  0.5518 [3 per cell]
F  0.4130  0.0158  0.5380 [3 per cell]
F  0.5217  0.2775  0.3725 [3 per cell]

The 6 most intense peaks (10 to 90 degrees two-theta), in order of rising 2θ:
d (Å)	2θ/deg	I (rel.)	hkl
4.941	17.95	40.7	1 0 2
3.919	22.69	81.0	0 1 3
3.786	23.50	100.0	2 -1 1
3.445	25.86	43.1	1 1 2
3.308	26.96	48.4	0 2 1
2.264	39.82	69.8	0 1 6

[7]
# Ba2YV2F11
Theoretical X-ray powder pattern, Cu Kα. Input: a PBE+U-relaxed structure.
Kinematic intensities with the Lorentz-polarization factor, no thermal factor.

Structural model:
abc: 7.9544 7.9544 13.8085
angles: 90.00 90.00 120.00
Space group P3_2 (No. 145)
One atom of each set of equivalent atoms:
Ba  0.1388  0.0306  0.0000 [3 per cell]
Ba  0.5285  0.1892  0.4823 [3 per cell]
Y  0.2008  0.5342  0.8953 [3 per cell]
V  0.1170  0.4060  0.3904 [3 per cell]
V  0.3385  0.3057  0.2180 [3 per cell]
F  0.0382  0.7219  0.1938 [3 per cell]
F  0.0434  0.9440  0.5127 [3 per cell]
F  0.0509  0.3672  0.0173 [3 per cell]
F  0.1830  0.4742  0.2385 [3 per cell]
F  0.1829  0.7990  0.8709 [3 per cell]
F  0.2469  0.2393  0.3627 [3 per cell]
F  0.2574  0.5959  0.7309 [3 per cell]
F  0.3552  0.1651  0.6799 [3 per cell]
F  0.4179  0.4089  0.0757 [3 per cell]
F  0.4267  0.0966  0.1690 [3 per cell]
F  0.5277  0.1566  0.9306 [3 per cell]

The 6 most intense peaks (10 to 90 degrees two-theta), in order of rising 2θ:
d (Å)	2θ/deg	I (rel.)	hkl
3.826	23.25	100.0	1 0 3
3.446	25.85	53.3	1 1 2
3.342	26.67	69.6	0 2 1
3.084	28.95	78.2	2 0 2
2.437	36.89	43.9	2 1 2
2.181	41.40	53.5	0 1 6

[8]
# BaWF7
Theoretical X-ray powder pattern, Cu Kα. Input: a PBE+U-relaxed structure.
Kinematic intensities with the Lorentz-polarization factor, no thermal factor.

Structural model:
abc: 5.741 10.130 10.608
angles: 90.00 93.22 90.00
Space group P2_1/c (No. 14)
One atom of each set of equivalent atoms:
Ba  0.198  0.167  0.007 [4 per cell]
W  0.315  0.611  0.187 [4 per cell]
F  0.036  0.695  0.242 [4 per cell]
F  0.112  0.542  0.613 [4 per cell]
F  0.170  0.052  0.630 [4 per cell]
F  0.240  0.695  0.023 [4 per cell]
F  0.386  0.545  0.360 [4 per cell]
F  0.403  0.044  0.375 [4 per cell]
F  0.499  0.735  0.742 [4 per cell]

The 6 most intense peaks (10 to 90 degrees two-theta), in order of rising 2θ:
d (Å)	2θ/deg	I (rel.)	hkl
4.569	19.43	100.0	0 2 1
4.430	20.04	84.5	1 1 1
4.003	22.21	65.2	1 0 -2
3.616	24.62	93.4	1 2 -1
3.546	25.12	68.6	1 1 2
3.334	26.74	51.0	0 1 3